For Nd6TlAg5, a crystal structure in Alexandria, relaxed with PBE gives the theoretical powder diffraction line list in this record (copper Kα).

Atomic structure:
Lattice parameters (Å, degrees): 5.323 7.645 8.409 90.00 108.27 90.00
Space group P2/m (No. 10)
One atom of each set of equivalent atoms:
Nd: 0.000 0.241 0.000 x2
Nd: 0.331 0.247 0.661 x4
Tl: 0.500 0.500 0.000 x1
Ag: 0.160 0.500 0.325 x2
Ag: 0.164 0.000 0.332 x2
Ag: 0.500 0.000 0.000 x1

The 12 most intense peaks (10° ≤ 2θ ≤ 90°), by angle:
Position (°2θ)  I (rel.)  index
33.41  100  1 2 1
33.67  49  2 0 -1
47.58  9  0 4 0
48.28  9  2 0 2
48.44  9  2 0 -4
59.55  18  2 4 -1
60.00  18  3 2 0
60.11  18  3 2 -3
70.12  6  2 4 2
70.25  6  2 4 -4
79.40  8  1 6 1
89.80  6  4 4 -2


For Ti3Pb2, a crystal structure in Alexandria, relaxed with PBE gives the theoretical powder diffraction line list in this record (copper Kα).

Atomic structure:
Lattice parameters (Å, degrees): 4.8053 4.8053 15.1141 90.00 90.00 120.00
Space group R-3m (No. 166, hexagonal axes)
One atom of each set of equivalent atoms:
Ti: 0.0000 0.0000 0.0000 x3
Ti: 0.0000 0.0000 0.1903 x6
Pb: 0.0000 0.0000 0.4004 x6

The 12 most intense peaks (10° ≤ 2θ ≤ 90°), by angle:
Position (°2θ)  I (rel.)  index
22.16  71  1 0 1
31.99  36  1 0 4
36.75  100  0 1 5
37.43  97  1 1 0
43.92  13  0 2 1
50.04  11  0 2 4
52.64  14  1 1 6
53.46  34  2 0 5
59.05  12  2 1 1
65.73  17  1 0 10
67.08  34  1 2 5
67.53  17  3 0 0


For MgSc3Ir3, a crystal structure in Alexandria, relaxed with PBE gives the theoretical powder diffraction line list in this record (copper Kα).

Atomic structure:
Lattice parameters (Å, degrees): 9.063 9.107 6.267 90.00 90.00 90.00
Space group Cmmm (No. 65)
One atom of each set of equivalent atoms:
Mg: 0.250 0.000 0.000 x4
Sc: 0.000 0.248 0.000 x4
Sc: 0.000 0.252 0.500 x4
Sc: 0.247 0.000 0.500 x4
Ir: 0.000 0.500 0.252 x4
Ir: 0.250 0.250 0.250 x8

The 12 most intense peaks (10° ≤ 2θ ≤ 90°), by angle:
Position (°2θ)  I (rel.)  index
13.78  46  1 1 0
19.53  21  0 2 0
27.77  41  2 2 0
28.48  19  0 0 2
31.77  13  1 1 2
39.58  26  0 4 0
39.78  26  4 0 0
40.20  100  2 2 2
42.70  11  1 3 2
57.37  17  4 4 0
72.24  17  2 6 2
72.50  17  6 2 2